Structure and calculated powder diffraction line list of DyHo8Er6 (the GGA-PBE geometry in Alexandria; copper Kα).

Atomic structure:
a b c (Å): 8.9264 8.9264 20.3540
angles (deg): 90.00 90.00 120.00
Space group R-3 (No. 148, hexagonal axes)
Unique sites:
1 Dy 0.0000 0.0000 0.0000 (multiplicity 3)
2 Ho 0.0000 0.0000 0.4234 (multiplicity 6)
3 Ho 0.0815 0.5522 0.8084 (multiplicity 18)
4 Er 0.0633 0.2473 0.7071 (multiplicity 18)

Top 12 peaks for 5 to 70 degrees two-theta, sorted by position:
index  2theta  I_rel
3 -1 1  30.92  18.1
3 -2 2  31.89  100.0
1 0 7  32.91  29.3
1 1 6  33.17  8.2
2 1 4  35.43  12.7
0 3 3  37.33  14.0
2 2 0  40.42  5.8
3 1 5  47.95  6.0
0 3 9  53.94  12.0
1 4 0  54.39  6.2
5 -1 3  56.17  10.7
5 -2 7  61.22  11.3